This entry pairs a crystal structure of CsHfB2 with its computed powder XRD pattern. Radiation: Cu Kα X-rays. Structure: a crystal structure in Alexandria, relaxed with GGA-PBE.
Neutral-atom scattering factors, no anomalous dispersion.

Crystal structure
```
CsHfB2
1.0
-2.820 2.820 7.248
2.820 -2.820 7.248
2.820 2.820 -7.248
Cs Hf B
2 2 4
Cartesian
0.000 0.000 0.000
0.000 2.820 3.624
2.820 0.000 3.624
0.000 0.000 7.248
1.410 -0.005 5.436
2.815 1.410 1.812
1.410 2.825 -1.812
0.005 1.410 9.060
```

Peak list (6 most intense, 10 to 80 degrees two-theta, in order of rising 2θ)
d_spacing, Position (°2θ), I (rel.)
3.624, 24.6, 24
3.494, 25.5, 100
2.820, 31.7, 29
2.226, 40.5, 29
2.066, 43.8, 23
1.732, 52.9, 27

This entry pairs a crystal structure of SmCu2Cl8 with its computed powder XRD pattern. Radiation: Cu Kα X-rays. Structure: a crystal structure in Alexandria, relaxed with GGA-PBE.
Neutral-atom scattering factors, no anomalous dispersion.

Crystal structure
```
SmCu2Cl8
1.0
-3.370 3.370 5.940
3.370 -3.370 5.940
3.370 3.370 -5.940
Sm Cu Cl
1 2 8
Cartesian
0.000 0.000 0.000
3.370 0.000 2.970
0.000 3.370 2.970
4.544 1.122 -1.413
1.122 2.196 -1.413
2.196 1.122 1.413
2.248 -1.174 7.353
2.248 1.174 4.527
-1.174 2.248 4.527
1.122 4.544 1.413
1.174 2.248 7.353
```

Peak list (6 most intense, 10 to 80 degrees two-theta, in order of rising 2θ)
d_spacing, Position (°2θ), I (rel.)
5.862, 15.1, 86
3.717, 23.9, 100
2.922, 30.6, 56
2.398, 37.5, 39
2.228, 40.5, 59
2.006, 45.2, 40

This entry pairs a crystal structure of SrSe2S with its computed powder XRD pattern. Radiation: Cu Kα X-rays. Structure: a crystal structure in Alexandria, relaxed with GGA-PBE.
Neutral-atom scattering factors, no anomalous dispersion.

Crystal structure
```
SrSe2S
1.0
5.740 0.000 0.000
0.070 6.331 0.000
2.678 0.266 6.634
Sr Se S
2 4 2
Cartesian
0.000 0.000 0.000
2.844 2.914 1.454
2.559 4.385 4.381
2.957 6.133 1.531
5.941 4.519 3.961
5.708 3.207 0.352
5.550 0.842 5.988
5.656 2.621 2.797
```

Peak list (6 most intense, 10 to 80 degrees two-theta, in order of rising 2θ)
d_spacing, Position (°2θ), I (rel.)
4.489, 19.8, 58
3.554, 25.1, 37
2.901, 30.8, 90
2.869, 31.2, 100
2.436, 36.9, 34
2.040, 44.4, 59

This entry pairs a crystal structure of PrBe2TeO8 with its computed powder XRD pattern. Radiation: Cu Kα X-rays. Structure: a crystal structure in Alexandria, relaxed with GGA-PBE.
Neutral-atom scattering factors, no anomalous dispersion.

Crystal structure
```
PrBe2TeO8
1.0
5.209 0.000 0.000
-2.605 4.511 0.000
0.000 0.000 6.683
Pr Be Te O
1 2 1 8
Cartesian
0.000 0.000 0.000
0.000 3.008 1.755
2.605 1.504 4.927
0.000 0.000 3.341
0.000 1.457 2.089
-1.343 3.783 2.089
1.262 0.728 4.593
0.000 3.008 0.098
2.605 1.504 6.585
1.343 3.783 2.089
3.948 0.728 4.593
2.605 3.054 4.593
```

Peak list (6 most intense, 10 to 80 degrees two-theta, in order of rising 2θ)
d_spacing, Position (°2θ), I (rel.)
4.511, 19.7, 100
2.685, 33.4, 45
2.605, 34.4, 27
2.054, 44.1, 33
1.870, 48.7, 23
1.519, 61.0, 17

This entry pairs a crystal structure of Tb15CeEr4 with its computed powder XRD pattern. Radiation: Cu Kα X-rays. Structure: a crystal structure in Alexandria, relaxed with GGA-PBE.
Neutral-atom scattering factors, no anomalous dispersion.

Crystal structure
```
Tb15CeEr4
1.0
5.019 0.000 0.000
0.000 5.019 0.000
0.000 0.000 25.112
Tb Ce Er
15 1 4
Cartesian
0.000 0.000 0.000
0.000 0.000 5.057
0.000 0.000 10.047
0.000 0.000 15.065
0.000 0.000 20.055
0.000 2.509 2.505
0.000 2.509 7.533
0.000 2.509 12.556
0.000 2.509 17.579
0.000 2.509 22.607
2.509 0.000 2.505
2.509 0.000 7.533
2.509 0.000 12.556
2.509 0.000 17.579
2.509 0.000 22.607
2.509 2.509 0.000
2.509 2.509 5.018
2.509 2.509 10.044
2.509 2.509 15.068
2.509 2.509 20.094
```

Peak list (6 most intense, 10 to 80 degrees two-theta, in order of rising 2θ)
d_spacing, Position (°2θ), I (rel.)
2.898, 30.9, 100
2.510, 35.8, 51
1.775, 51.5, 36
1.514, 61.2, 43
1.449, 64.3, 12
1.255, 75.8, 6

This entry pairs a crystal structure of Y2BPdPt6 with its computed powder XRD pattern. Radiation: Cu Kα X-rays. Structure: a crystal structure in Alexandria, relaxed with GGA-PBE.
Neutral-atom scattering factors, no anomalous dispersion.

Crystal structure
```
Y2BPdPt6
1.0
5.545 0.000 0.000
2.759 4.815 0.000
2.706 1.574 6.888
Y B Pd Pt
2 1 1 6
Cartesian
2.763 1.599 2.557
8.247 4.790 4.331
0.000 0.000 0.000
5.505 3.195 3.444
4.106 2.393 5.558
5.459 4.735 5.603
4.200 3.990 1.278
6.810 2.399 5.609
5.551 1.654 1.285
6.904 3.996 1.329
```

Peak list (6 most intense, 10 to 80 degrees two-theta, in order of rising 2θ)
d_spacing, Position (°2θ), I (rel.)
4.359, 20.4, 57
3.444, 25.9, 54
2.347, 38.4, 100
2.332, 38.6, 51
2.185, 41.3, 43
2.177, 41.5, 93

This entry pairs a crystal structure of Na8B11C5 with its computed powder XRD pattern. Radiation: Cu Kα X-rays. Structure: a crystal structure in Alexandria, relaxed with GGA-PBE.
Neutral-atom scattering factors, no anomalous dispersion.

Crystal structure
```
Na8B11C5
1.0
5.773 0.000 0.000
-2.886 4.999 0.000
0.000 0.000 8.558
Na B C
8 11 5
Cartesian
0.000 0.000 2.101
0.000 0.000 6.457
4.328 2.499 2.110
4.328 2.499 6.448
2.886 0.002 2.110
2.886 0.002 6.448
1.445 2.499 2.110
1.445 2.499 6.448
0.000 1.607 4.279
-1.495 4.196 4.279
0.000 1.667 0.000
-1.442 4.166 0.000
0.000 3.333 4.279
1.535 0.886 4.279
1.442 4.166 0.000
2.886 1.666 0.000
1.495 4.196 4.279
4.238 0.886 4.279
2.886 3.227 4.279
1.443 0.833 0.000
0.000 3.333 0.000
2.886 1.666 4.279
4.330 0.833 0.000
2.886 3.333 0.000
```

Peak list (6 most intense, 10 to 80 degrees two-theta, in order of rising 2θ)
d_spacing, Position (°2θ), I (rel.)
2.500, 35.9, 18
2.158, 41.9, 100
2.140, 42.2, 25
1.443, 64.6, 17
1.239, 77.0, 12
1.200, 80.0, 11

This entry pairs a crystal structure of MgNpSb3 with its computed powder XRD pattern. Radiation: Cu Kα X-rays. Structure: a crystal structure in Alexandria, relaxed with GGA-PBE.
Neutral-atom scattering factors, no anomalous dispersion.

Crystal structure
```
MgNpSb3
1.0
13.167 0.000 0.000
0.000 6.152 0.000
0.000 0.000 6.365
Mg Np Sb
4 4 12
Cartesian
1.400 1.538 0.000
1.400 1.538 3.183
11.767 4.614 0.000
11.767 4.614 3.183
4.171 3.086 1.591
4.171 6.142 4.774
8.996 0.010 1.591
8.996 3.066 4.774
1.098 4.147 1.591
1.098 5.082 4.774
3.486 3.083 4.774
3.486 6.146 1.591
6.561 1.538 0.000
6.561 1.538 3.183
6.607 4.614 0.000
6.607 4.614 3.183
9.682 0.007 4.774
9.682 3.069 1.591
12.070 1.070 1.591
12.070 2.006 4.774
```

Peak list (6 most intense, 10 to 80 degrees two-theta, in order of rising 2θ)
d_spacing, Position (°2θ), I (rel.)
2.865, 31.2, 61
2.787, 32.1, 93
2.637, 34.0, 100
2.577, 34.8, 59
2.519, 35.6, 55
2.212, 40.8, 47

This entry pairs a crystal structure of NaLa4Y3S8 with its computed powder XRD pattern. Radiation: Cu Kα X-rays. Structure: a crystal structure in Alexandria, relaxed with GGA-PBE.
Neutral-atom scattering factors, no anomalous dispersion.

Crystal structure
```
NaLa4Y3S8
1.0
4.042 2.334 6.641
-4.042 2.334 6.641
0.000 -4.668 6.641
Na La Y S
1 4 3 8
Cartesian
0.000 0.000 0.000
-4.042 0.000 9.961
-2.021 1.167 3.320
2.021 1.167 3.320
0.000 0.000 9.961
-2.021 -1.167 6.641
-2.021 1.167 13.282
0.000 2.334 6.641
0.000 -2.315 8.186
-2.005 1.158 8.186
0.000 0.000 5.103
-2.005 -1.158 11.737
2.005 1.158 8.186
0.000 0.000 14.819
2.005 -1.158 11.737
0.000 2.315 11.737
```

Peak list (6 most intense, 10 to 80 degrees two-theta, in order of rising 2θ)
d_spacing, Position (°2θ), I (rel.)
3.303, 27.0, 38
2.864, 31.2, 100
2.029, 44.7, 35
2.021, 44.8, 36
1.726, 53.1, 19
1.651, 55.7, 18

This entry pairs a crystal structure of Ce2Tm3Ru2 with its computed powder XRD pattern. Radiation: Cu Kα X-rays. Structure: a crystal structure in Alexandria, relaxed with GGA-PBE.
Neutral-atom scattering factors, no anomalous dispersion.

Crystal structure
```
Ce2Tm3Ru2
1.0
5.876 -1.872 0.000
5.876 1.872 0.000
-3.507 0.000 8.106
Ce Tm Ru
2 3 2
Cartesian
0.904 0.000 2.497
7.341 0.000 5.609
4.215 0.000 0.646
4.122 0.000 4.053
4.029 0.000 7.460
-0.294 0.000 5.950
8.539 0.000 2.156
```

Peak list (6 most intense, 10 to 80 degrees two-theta, in order of rising 2θ)
d_spacing, Position (°2θ), I (rel.)
2.927, 30.5, 85
2.757, 32.5, 82
2.705, 33.1, 100
2.539, 35.3, 51
2.297, 39.2, 55
1.871, 48.7, 51

This entry pairs a crystal structure of TlSiIO6 with its computed powder XRD pattern. Radiation: Cu Kα X-rays. Structure: a crystal structure in Alexandria, relaxed with GGA-PBE.
Neutral-atom scattering factors, no anomalous dispersion.

Crystal structure
```
TlSiIO6
1.0
4.959 0.000 0.000
-2.479 4.295 0.000
0.000 0.000 6.486
Tl Si I O
1 1 1 6
Cartesian
0.000 0.000 0.000
0.000 2.863 3.243
2.479 1.432 3.243
-0.898 1.681 4.297
-1.472 2.676 2.189
0.898 1.681 2.189
-0.575 4.231 4.297
1.472 2.676 4.297
0.574 4.231 2.189
```

Peak list (6 most intense, 10 to 80 degrees two-theta, in order of rising 2θ)
d_spacing, Position (°2θ), I (rel.)
3.581, 24.9, 100
2.479, 36.2, 20
2.038, 44.4, 18
1.970, 46.1, 31
1.931, 47.1, 16
1.575, 58.6, 18

This entry pairs a crystal structure of NaCd2In2Sn with its computed powder XRD pattern. Radiation: Cu Kα X-rays. Structure: a crystal structure in Alexandria, relaxed with GGA-PBE.
Neutral-atom scattering factors, no anomalous dispersion.

Crystal structure
```
NaCd2In2Sn
1.0
4.795 0.000 0.000
0.000 8.958 0.000
0.000 0.000 7.528
Na Cd In Sn
2 4 4 2
Cartesian
0.000 0.459 0.000
0.000 8.499 3.764
0.000 3.202 5.790
0.000 5.756 2.026
2.397 1.246 2.124
2.397 7.712 5.888
0.000 2.912 2.676
0.000 6.046 6.441
2.397 3.921 0.320
2.397 5.037 4.084
2.397 1.623 5.153
2.397 7.335 1.389
```

Peak list (6 most intense, 10 to 80 degrees two-theta, in order of rising 2θ)
d_spacing, Position (°2θ), I (rel.)
3.002, 29.8, 46
2.961, 30.2, 33
2.811, 31.8, 100
2.535, 35.4, 88
2.399, 37.5, 80
2.102, 43.0, 27